Simulated powder diffractogram
Compound: HfH4
Radiation: Cu Ka
Structure: the PBE geometry in OQMD
Neutral-atom scattering factors, no anomalous dispersion.

Structural model:
a = 3.676 Å, b = 3.390 Å, c = 5.530 Å
α = 90.00°, β = 114.91°, γ = 90.00°
Space group P2/c (No. 13)
Symmetry-distinct sites (fractional):
Hf 0.000 0.223 0.250 (multiplicity 2)
H 0.195 0.277 0.650 (multiplicity 4)
H 0.380 0.219 0.054 (multiplicity 4)

Most intense lines, 2θ from 10° to 80°, in order of rising 2θ:
| 2theta | d (Å) | I/Imax | (hkl) |
| --- | --- | --- | --- |
| 26.7 | 3.334 | 81 | 1 0 0 |
| 31.9 | 2.809 | 100 | 0 1 1 |
| 34.5 | 2.597 | 41 | 1 0 -2 |
| 35.8 | 2.508 | 38 | 0 0 2 |
| 36.7 | 2.452 | 69 | 1 1 -1 |
| 47.0 | 1.935 | 35 | 1 1 1 |
| 57.0 | 1.615 | 21 | 1 1 -3 |
| 57.2 | 1.610 | 20 | 2 1 -1 |
| 61.4 | 1.511 | 14 | 1 2 0 |
| 61.9 | 1.499 | 15 | 0 1 3 |

=====

Simulated powder diffractogram
Compound: HgH2
Radiation: Cu Ka
Structure: the PBE geometry in OQMD
Neutral-atom scattering factors, no anomalous dispersion.

Structural model:
a = 4.933 Å, b = 5.466 Å, c = 5.666 Å
α = 90.00°, β = 90.00°, γ = 90.00°
Space group Pbcn (No. 60)
Symmetry-distinct sites (fractional):
Hg 0.000 0.165 0.250 (multiplicity 4)
H 0.247 0.092 0.668 (multiplicity 8)

Most intense lines, 2θ from 10° to 80°, in order of rising 2θ:
| 2theta | d (Å) | I/Imax | (hkl) |
| --- | --- | --- | --- |
| 24.3 | 3.662 | 27 | 1 1 0 |
| 29.0 | 3.076 | 100 | 1 1 1 |
| 31.6 | 2.833 | 28 | 0 0 2 |
| 36.5 | 2.463 | 46 | 2 0 0 |
| 40.2 | 2.241 | 15 | 1 1 2 |
| 49.0 | 1.860 | 16 | 2 0 2 |
| 52.5 | 1.742 | 21 | 2 2 1 |
| 54.7 | 1.679 | 18 | 1 1 3 |
| 61.1 | 1.517 | 13 | 3 1 1 |
| 63.6 | 1.463 | 15 | 1 3 2 |

=====

Simulated powder diffractogram
Compound: HgH
Radiation: Cu Ka
Structure: the PBE geometry in OQMD
Neutral-atom scattering factors, no anomalous dispersion.

Structural model:
a = 3.812 Å, b = 3.812 Å, c = 10.023 Å
α = 90.00°, β = 90.00°, γ = 90.00°
Space group I4/mmm (No. 139)
Symmetry-distinct sites (fractional):
Hg 0.000 0.000 0.132 (multiplicity 4)
H 0.000 0.000 0.306 (multiplicity 4)

Most intense lines, 2θ from 10° to 80°, in order of rising 2θ:
| 2theta | d (Å) | I/Imax | (hkl) |
| --- | --- | --- | --- |
| 25.0 | 3.563 | 100 | 1 0 1 |
| 33.2 | 2.695 | 55 | 1 1 0 |
| 35.8 | 2.511 | 78 | 0 0 4 |
| 47.7 | 1.906 | 20 | 2 0 0 |
| 49.7 | 1.835 | 35 | 1 1 4 |
| 51.5 | 1.774 | 9 | 1 0 5 |
| 54.6 | 1.681 | 25 | 2 1 1 |
| 61.0 | 1.518 | 43 | 2 0 4 |
| 70.2 | 1.340 | 10 | 1 0 7 |
| 79.5 | 1.205 | 9 | 3 1 0 |

=====

Simulated powder diffractogram
Compound: HgH2I4
Radiation: Cu Ka
Structure: the PBE geometry in OQMD
Neutral-atom scattering factors, no anomalous dispersion.

Structural model:
a = 5.825 Å, b = 5.825 Å, c = 6.255 Å
α = 90.00°, β = 90.00°, γ = 90.00°
Space group P-42m (No. 111)
Symmetry-distinct sites (fractional):
Hg 0.000 0.000 0.000 (multiplicity 1)
H 0.000 0.500 0.500 (multiplicity 2)
I 0.265 0.265 0.290 (multiplicity 4)

Most intense lines, 2θ from 10° to 80°, in order of rising 2θ:
| 2theta | d (Å) | I/Imax | (hkl) |
| --- | --- | --- | --- |
| 15.2 | 5.825 | 14 | 1 0 0 |
| 20.8 | 4.263 | 27 | 1 0 1 |
| 25.9 | 3.440 | 100 | 1 1 1 |
| 32.5 | 2.755 | 12 | 1 0 2 |
| 34.0 | 2.640 | 19 | 2 0 1 |
| 36.1 | 2.491 | 15 | 1 1 2 |
| 37.4 | 2.405 | 12 | 2 1 1 |
| 42.4 | 2.131 | 39 | 2 0 2 |
| 44.0 | 2.059 | 21 | 2 2 0 |
| 51.7 | 1.767 | 28 | 3 1 1 |